[1]
Starting from a GGA-PBE-relaxed structure, the powder diffractogram of BaH16O10 was calculated for Cu Kα (λ = 1.5418 Å).
Peak positions follow from Bragg's law for the DFT cell and can differ from measured ones.

Cell lengths 6.551, 6.543, 11.386 Å; angles 90.00, 90.03, 90.00 degrees
Fractional coordinates of all 54 atoms:
Ba (0.000, 0.004, 0.000)
Ba (0.000, 0.996, 0.500)
H (0.035, 0.457, 0.882)
H (0.035, 0.543, 0.382)
H (0.143, 0.334, 0.716)
H (0.143, 0.666, 0.216)
H (0.273, 0.402, 0.899)
H (0.273, 0.598, 0.399)
H (0.276, 0.402, 0.603)
H (0.276, 0.598, 0.103)
H (0.330, 0.147, 0.288)
H (0.330, 0.853, 0.788)
H (0.397, 0.279, 0.104)
H (0.397, 0.721, 0.604)
H (0.398, 0.280, 0.399)
H (0.398, 0.720, 0.899)
H (0.453, 0.043, 0.121)
H (0.453, 0.957, 0.621)
H (0.541, 0.040, 0.881)
H (0.541, 0.960, 0.381)
H (0.594, 0.278, 0.899)
H (0.594, 0.722, 0.399)
H (0.599, 0.264, 0.592)
H (0.599, 0.736, 0.092)
H (0.660, 0.152, 0.710)
H (0.660, 0.848, 0.210)
H (0.717, 0.404, 0.399)
H (0.717, 0.596, 0.899)
H (0.718, 0.403, 0.104)
H (0.718, 0.597, 0.604)
H (0.849, 0.333, 0.288)
H (0.849, 0.667, 0.788)
H (0.956, 0.457, 0.121)
H (0.956, 0.543, 0.621)
O (0.136, 0.343, 0.872)
O (0.136, 0.657, 0.372)
O (0.137, 0.345, 0.628)
O (0.137, 0.655, 0.128)
O (0.338, 0.142, 0.131)
O (0.338, 0.858, 0.631)
O (0.341, 0.140, 0.375)
O (0.341, 0.860, 0.875)
O (0.494, 0.499, 0.934)
O (0.494, 0.501, 0.434)
O (0.497, 0.496, 0.565)
O (0.497, 0.504, 0.065)
O (0.653, 0.130, 0.623)
O (0.653, 0.142, 0.870)
O (0.653, 0.858, 0.370)
O (0.653, 0.870, 0.123)
O (0.855, 0.344, 0.131)
O (0.855, 0.656, 0.631)
O (0.856, 0.345, 0.375)
O (0.856, 0.655, 0.875)

Largest 10 diffraction maxima, low angle first, 2θ = 10–90°:
d [Å]  2θ/deg  I/Imax
6.547  13.53  68
5.693  15.57  66
4.629  19.17  42
4.296  20.68  66
3.592  24.79  100
2.836  31.55  56
2.608  34.39  50
2.425  37.08  43
2.070  43.72  44
2.041  44.39  32

---

[2]
Starting from a GGA-PBE-relaxed structure, the powder diffractogram of BaH16O10 was calculated for Cu Kα (λ = 1.5418 Å).
Peak positions follow from Bragg's law for the DFT cell and can differ from measured ones.

Cell lengths 6.636, 6.637, 11.261 Å; angles 90.10, 91.73, 93.07 degrees
Fractional coordinates of all 54 atoms:
Ba (0.000, 0.000, 0.000)
Ba (0.008, 0.012, 0.500)
H (0.044, 0.550, 0.622)
H (0.049, 0.587, 0.350)
H (0.103, 0.325, 0.777)
H (0.162, 0.296, 0.217)
H (0.188, 0.724, 0.702)
H (0.210, 0.738, 0.284)
H (0.242, 0.408, 0.103)
H (0.255, 0.416, 0.878)
H (0.345, 0.585, 0.547)
H (0.364, 0.093, 0.306)
H (0.366, 0.738, 0.879)
H (0.367, 0.746, 0.108)
H (0.374, 0.320, 0.368)
H (0.401, 0.967, 0.840)
H (0.403, 0.286, 0.601)
H (0.458, 0.974, 0.123)
H (0.459, 0.070, 0.646)
H (0.593, 0.703, 0.373)
H (0.603, 0.773, 0.584)
H (0.606, 0.232, 0.115)
H (0.609, 0.908, 0.297)
H (0.611, 0.570, 0.072)
H (0.618, 0.121, 0.957)
H (0.629, 0.253, 0.838)
H (0.698, 0.622, 0.876)
H (0.710, 0.827, 0.707)
H (0.737, 0.404, 0.371)
H (0.782, 0.407, 0.625)
H (0.816, 0.699, 0.218)
H (0.899, 0.391, 0.472)
H (0.926, 0.572, 0.850)
H (0.930, 0.539, 0.144)
O (0.112, 0.726, 0.347)
O (0.113, 0.356, 0.863)
O (0.117, 0.350, 0.138)
O (0.151, 0.681, 0.621)
O (0.279, 0.195, 0.337)
O (0.291, 0.861, 0.849)
O (0.329, 0.874, 0.145)
O (0.345, 0.159, 0.636)
O (0.469, 0.527, 0.043)
O (0.474, 0.538, 0.912)
O (0.479, 0.522, 0.534)
O (0.494, 0.497, 0.404)
O (0.632, 0.094, 0.094)
O (0.645, 0.116, 0.866)
O (0.666, 0.887, 0.631)
O (0.682, 0.832, 0.357)
O (0.833, 0.649, 0.137)
O (0.834, 0.684, 0.852)
O (0.881, 0.372, 0.381)
O (0.921, 0.374, 0.609)

Largest 10 diffraction maxima, low angle first, 2θ = 10–90°:
d [Å]  2θ/deg  I/Imax
6.625  13.36  100
5.628  15.75  61
4.816  18.42  35
4.290  20.71  40
3.624  24.56  29
3.586  24.83  33
3.505  25.41  32
3.313  26.91  30
2.130  42.44  28
2.062  43.91  28